The following is a theoretical powder X-ray diffraction pattern of Co2ReTe. It was derived from DFT lattice parameters and positions (PBE), using λ = 1.5418 Å (Cu Kα).
No peak broadening, texture or thermal motion is included.

Structure:
a = 3.160 Å, b = 3.160 Å, c = 5.790 Å
α = 90.00°, β = 90.00°, γ = 90.00°
Space group P4mm (No. 99)
One atom of each set of equivalent atoms:
Co1 0.000 0.000 0.000
Co2 0.500 0.500 0.225
Re1 0.000 0.000 0.434
Te1 0.500 0.500 0.769

Main lines, sorted by position (10 to 90 degrees two-theta):
Position (°2θ)	Rel. int.	index
15.30	13	0 0 1
30.89	8	0 0 2
32.28	50	1 0 1
40.37	72	1 1 0
42.34	100	1 0 2
51.68	8	1 1 2
58.42	24	2 0 0
63.72	12	1 1 3
68.33	12	2 1 1
74.76	36	2 1 2



The following is a theoretical powder X-ray diffraction pattern of MnNi3. It was derived from DFT lattice parameters and positions (PBE), using λ = 1.5418 Å (Cu Kα).
No peak broadening, texture or thermal motion is included.

Structure:
a = 5.080 Å, b = 6.970 Å, c = 2.589 Å
α = 90.00°, β = 90.00°, γ = 90.00°
Space group Cmmm (No. 65)
One atom of each set of equivalent atoms:
Mn1 0.000 0.000 0.000
Ni1 0.000 0.500 0.000
Ni2 0.250 0.250 0.500

Main lines, sorted by position (10 to 90 degrees two-theta):
Position (°2θ)	Rel. int.	index
21.65	1	1 1 0
43.55	100	0 2 1
44.12	96	2 2 0
50.33	64	2 0 1
52.51	28	0 4 0
73.10	9	0 0 2
74.75	9	4 0 0
75.70	34	2 4 1
89.51	22	2 2 2